# Er7Te2Pt2
Calculated XRD peak list, Cu Kα (weighted mean of Kα1 and Kα2). Input: the GGA-PBE geometry in the Materials Project.
Intensities are scaled so that the largest is 100.

Most intense lines, 10 to 90 degrees two-theta, by angle:
d_spacing  I (rel.)
2.990  36
2.722  43
2.661  100
2.627  38
2.484  22
2.366  27
1.972  26
1.597  22

Crystal structure
a b c (Å): 3.9443 15.5565 9.5933
angles (deg): 90.00 90.00 90.00
Space group Imm2 (No. 44)
Asymmetric unit:
Er (0.0000, 0.0000, 0.0000) (multiplicity 2)
Er (0.0000, 0.1308, 0.4155) (multiplicity 4)
Er (0.0000, 0.3159, 0.6227) (multiplicity 4)
Er (0.0000, 0.3556, 0.2678) (multiplicity 4)
Te (0.0000, 0.0000, 0.6624) (multiplicity 2)
Te (0.0000, 0.5000, 0.7629) (multiplicity 2)
Pt (0.0000, 0.2377, 0.9266) (multiplicity 4)



# MgZrF6
Calculated XRD peak list, Cu Kα (weighted mean of Kα1 and Kα2). Input: the GGA-PBE geometry in the Materials Project.
Intensities are scaled so that the largest is 100.

Most intense lines, 10 to 90 degrees two-theta, by angle:
d_spacing  I (rel.)
4.673  31
4.047  100
2.862  19
2.440  18
2.024  30
1.810  38
1.431  16
1.349  16

Crystal structure
a b c (Å): 8.0941 8.0941 8.0941
angles (deg): 90.00 90.00 90.00
Space group Fm-3m (No. 225)
Asymmetric unit:
Mg (0.0000, 0.0000, 0.0000) (multiplicity 4)
Zr (0.0000, 0.0000, 0.5000) (multiplicity 4)
F (0.0000, 0.0000, 0.2478) (multiplicity 24)